Diffraction record for LuCd2Ga. The PXRD pattern is computed, not measured: it uses a cell relaxed with PBE and Cu Ka.
Lines closer than 0.1° are merged.

Cell and atoms:
Cell lengths 4.9558, 4.9558, 4.9558 Å; angles 60.00, 60.00, 60.00 degrees
Positions (direct):
Lu: 0.0000 0.0000 0.0000
Cd: 0.2500 0.2500 0.2500
Cd: 0.5000 0.5000 0.5000
Ga: 0.7500 0.7500 0.7500

Top 6 peaks for 10 to 80 degrees two-theta, low angle first:
- d 4.046, I 5
- d 3.504, I 5
- d 2.478, I 100
- d 1.752, I 17
- d 1.431, I 35
- d 1.239, I 11

Diffraction record for Nd3Mg3TlCdGa. The PXRD pattern is computed, not measured: it uses a cell relaxed with PBE and Cu Ka.
Lines closer than 0.1° are merged.

Cell and atoms:
Cell lengths 7.6352, 7.6352, 4.6637 Å; angles 90.00, 90.00, 120.00 degrees
Positions (direct):
Nd: 0.0968 0.3432 0.0000
Nd: 0.2464 0.9032 0.0000
Nd: 0.6568 0.7536 0.0000
Mg: 0.4272 0.3406 0.5000
Mg: 0.6594 0.0866 0.5000
Mg: 0.9134 0.5728 0.5000
Tl: 0.0000 0.0000 0.5000
Cd: 0.6667 0.3333 0.0000
Ga: 0.3333 0.6667 0.5000

Top 6 peaks for 10 to 80 degrees two-theta, low angle first:
- d 3.815, I 44
- d 2.954, I 64
- d 2.697, I 100
- d 2.203, I 45
- d 1.706, I 33
- d 1.442, I 38

Diffraction record for Na4Cd3Ga. The PXRD pattern is computed, not measured: it uses a cell relaxed with PBE and Cu Ka.
Lines closer than 0.1° are merged.

Cell and atoms:
Cell lengths 5.1204, 5.1204, 7.2718 Å; angles 90.00, 90.00, 90.00 degrees
Positions (direct):
Na: 0.0000 0.0000 0.0000
Na: 0.0000 0.5000 0.7419
Na: 0.5000 0.0000 0.2581
Na: 0.5000 0.5000 0.5000
Cd: 0.0000 0.5000 0.2626
Cd: 0.5000 0.0000 0.7374
Cd: 0.5000 0.5000 0.0000
Ga: 0.0000 0.0000 0.5000

Top 6 peaks for 10 to 80 degrees two-theta, low angle first:
- d 4.187, I 46
- d 2.564, I 100
- d 2.184, I 16
- d 1.810, I 11
- d 1.482, I 11
- d 1.479, I 22

Diffraction record for Nd3Cd3GaPt2. The PXRD pattern is computed, not measured: it uses a cell relaxed with PBE and Cu Ka.
Lines closer than 0.1° are merged.

Cell and atoms:
Cell lengths 7.7976, 7.7976, 4.0089 Å; angles 90.00, 90.00, 120.00 degrees
Positions (direct):
Nd: 0.0000 0.4137 0.0000
Nd: 0.4137 0.0000 0.0000
Nd: 0.5863 0.5863 0.0000
Cd: 0.0000 0.7456 0.5000
Cd: 0.2544 0.2544 0.5000
Cd: 0.7456 0.0000 0.5000
Ga: 0.0000 0.0000 0.0000
Pt: 0.3333 0.6667 0.5000
Pt: 0.6667 0.3333 0.5000

Top 6 peaks for 10 to 80 degrees two-theta, low angle first:
- d 2.795, I 100
- d 2.583, I 88
- d 2.552, I 49
- d 2.251, I 39
- d 2.153, I 25
- d 1.445, I 28

Diffraction record for CdGa2O4. The PXRD pattern is computed, not measured: it uses a cell relaxed with PBE and Cu Ka.
Lines closer than 0.1° are merged.

Cell and atoms:
Cell lengths 8.2919, 5.0078, 5.0078 Å; angles 116.44, 90.00, 90.00 degrees
Positions (direct):
Cd: 0.2500 0.0079 0.9921
Cd: 0.7500 0.9921 0.0079
Ga: 0.0518 0.7166 0.3516
Ga: 0.4482 0.7166 0.3516
Ga: 0.5518 0.3516 0.7166
Ga: 0.9482 0.3516 0.7166
O: 0.0000 0.7108 0.7108
O: 0.0701 0.3542 0.0263
O: 0.2500 0.9127 0.4045
O: 0.4299 0.3542 0.0263
O: 0.5000 0.7108 0.7108
O: 0.5701 0.0263 0.3542
O: 0.7500 0.4045 0.9127
O: 0.9299 0.0263 0.3542

Top 6 peaks for 10 to 80 degrees two-theta, low angle first:
- d 3.044, I 100
- d 2.970, I 49
- d 2.637, I 33
- d 2.499, I 60
- d 1.972, I 42
- d 1.509, I 20

Diffraction record for CdGa2Se3S. The PXRD pattern is computed, not measured: it uses a cell relaxed with PBE and Cu Ka.
Lines closer than 0.1° are merged.

Cell and atoms:
Cell lengths 5.7777, 5.8338, 6.7409 Å; angles 115.52, 114.18, 90.87 degrees
Positions (direct):
Cd: 0.0000 0.0000 0.0000
Ga: 0.2488 0.7364 0.4928
Ga: 0.4910 0.4914 0.0008
Se: 0.1157 0.5770 0.7205
Se: 0.5992 0.1291 0.7199
Se: 0.8630 0.8688 0.2792
S: 0.3896 0.4003 0.2623

Top 6 peaks for 10 to 80 degrees two-theta, low angle first:
- d 3.307, I 57
- d 3.261, I 100
- d 3.241, I 51
- d 2.068, I 27
- d 2.037, I 27
- d 1.987, I 47

Copy entry 4 word for word.
Diffraction record for Nd3Cd3GaPt2. The PXRD pattern is computed, not measured: it uses a cell relaxed with PBE and Cu Ka.
Lines closer than 0.1° are merged.

Cell and atoms:
Cell lengths 7.7976, 7.7976, 4.0089 Å; angles 90.00, 90.00, 120.00 degrees
Positions (direct):
Nd: 0.0000 0.4137 0.0000
Nd: 0.4137 0.0000 0.0000
Nd: 0.5863 0.5863 0.0000
Cd: 0.0000 0.7456 0.5000
Cd: 0.2544 0.2544 0.5000
Cd: 0.7456 0.0000 0.5000
Ga: 0.0000 0.0000 0.0000
Pt: 0.3333 0.6667 0.5000
Pt: 0.6667 0.3333 0.5000

Top 6 peaks for 10 to 80 degrees two-theta, low angle first:
- d 2.795, I 100
- d 2.583, I 88
- d 2.552, I 49
- d 2.251, I 39
- d 2.153, I 25
- d 1.445, I 28